Record 1
Structure and theoretical X-ray diffraction stick pattern of Pm2DyTm4Mg (the GGA-PBE geometry in Alexandria; CuKα).

Cell and atoms:
abc: 11.0446 5.0088 9.8334
angles: 90.00 116.25 90.00
Space group C2/m (No. 12)
Unique sites:
Pm: 0.0030 0.0000 0.2512
Dy: 0.0000 0.5000 0.5000
Tm: 0.2452 0.5000 0.8768
Tm: 0.2499 0.0000 0.6285
Mg: 0.0000 0.5000 0.0000

Largest 8 diffraction maxima, by angle, 2θ from 10° to 90°:
- (1 1 2), d 2.863, I = 1000
- (0 2 0), d 2.504, I = 174
- (4 0 0), d 2.476, I = 167
- (2 0 -4), d 2.458, I = 164
- (4 2 0), d 1.761, I = 121
- (2 2 -4), d 1.754, I = 119
- (1 3 2), d 1.506, I = 147
- (5 1 -6), d 1.485, I = 71

***

Record 2
Structure and theoretical X-ray diffraction stick pattern of Pm6Dy2TmMg (the GGA-PBE geometry in Alexandria; CuKα).

Cell and atoms:
abc: 9.2410 14.9626 9.5508
angles: 90.00 97.81 90.00
Space group C2/c (No. 15)
Unique sites:
Pm: 0.0560 0.1806 0.4488
Pm: 0.1040 0.3974 0.6125
Pm: 0.2154 0.2173 0.8064
Dy: 0.2496 0.0495 0.0505
Tm: 0.0000 0.0215 0.7500
Mg: 0.0000 0.4099 0.2500

Largest 8 diffraction maxima, by angle, 2θ from 10° to 90°:
- (2 2 -2), d 3.199, I = 305
- (1 3 2), d 3.115, I = 624
- (3 1 -1), d 2.967, I = 697
- (0 2 3), d 2.906, I = 569
- (2 2 2), d 2.853, I = 898
- (2 4 -1), d 2.842, I = 1000
- (1 5 -1), d 2.756, I = 343
- (1 3 -3), d 2.642, I = 417

***

Record 3
Structure and theoretical X-ray diffraction stick pattern of Pm6DyY2Mg (the GGA-PBE geometry in Alexandria; CuKα).

Cell and atoms:
abc: 9.3096 15.9828 8.8863
angles: 90.00 91.81 90.00
Space group C2/c (No. 15)
Unique sites:
Pm: 0.0435 0.1594 0.4479
Pm: 0.0983 0.3637 0.5897
Pm: 0.2472 0.2903 0.1968
Dy: 0.0000 0.0353 0.7500
Y: 0.2315 0.4538 0.9501
Mg: 0.0000 0.4437 0.2500

Largest 8 diffraction maxima, by angle, 2θ from 10° to 90°:
- (1 3 2), d 3.178, I = 812
- (2 2 -2), d 3.024, I = 1000
- (2 2 2), d 2.941, I = 503
- (3 1 -1), d 2.908, I = 472
- (2 4 -1), d 2.887, I = 427
- (2 4 1), d 2.852, I = 817
- (0 2 3), d 2.776, I = 800
- (0 6 1), d 2.550, I = 498

***

Record 4
Structure and theoretical X-ray diffraction stick pattern of Pr2Dy4Mg (the GGA-PBE geometry in Alexandria; CuKα).

Cell and atoms:
abc: 11.8827 6.6017 11.8148
angles: 90.00 90.00 90.00
Space group Cmce (No. 64)
Unique sites:
Pr: 0.1479 0.0000 0.0000
Dy: 0.0000 0.2045 0.2460
Dy: 0.2500 0.0858 0.7500
Mg: 0.0000 0.0000 0.5000

Largest 8 diffraction maxima, by angle, 2θ from 10° to 90°:
- (0 0 2), d 5.908, I = 539
- (3 1 1), d 3.262, I = 493
- (0 0 4), d 2.954, I = 829
- (2 2 0), d 2.884, I = 706
- (2 2 1), d 2.803, I = 662
- (4 0 2), d 2.654, I = 1000
- (2 2 3), d 2.328, I = 394
- (6 2 2), d 1.633, I = 380